Simulated XRD peak list
Compound: Er2Ga13
Radiation: Cu Kα X-rays
Structure: a cell relaxed with PBE
Kinematic intensities with the Lorentz-polarization factor, no thermal factor.

The 10 most intense peaks (10 to 80 degrees two-theta), sorted by position:
hkl, d [Å], intensity
0 1 2, 5.407, 43
1 1 0, 3.624, 32
0 2 1, 3.105, 65
0 2 4, 2.704, 79
2 0 5, 2.527, 59
0 1 8, 2.450, 79
0 2 7, 2.184, 51
2 1 4, 2.167, 100
3 0 3, 2.007, 46
2 3 8, 1.267, 34

Crystal structure
Cell: 7.2480 7.2480 21.2933 Å, 90.00 90.00 120.00°
Space group R-3m (No. 166, hexagonal axes)
One atom of each set of equivalent atoms:
1 Er 0.0000 0.0000 0.2356 (multiplicity 6)
2 Ga 0.0000 0.0000 0.0000 (multiplicity 3)
3 Ga 0.0630 0.5315 0.7903 (multiplicity 18)
4 Ga 0.0977 0.5488 0.0504 (multiplicity 18)